# 1
The following is a simulated PXRD pattern of Ac2PuPaN4. It was derived from a crystal structure in Alexandria, relaxed with PBE, using Cu Kα, 1.54184 Å.
Intensities are scaled so that the largest is 100.

Atomic structure:
Cell: 6.3029 3.6367 6.5032 Å, 90.00 109.37 90.00°
Space group P2/m (No. 10)
One atom of each set of equivalent atoms:
Ac (0.0000, 0.0000, 0.0000)
Ac (0.5000, 0.5000, 0.0000)
Pu (0.0000, 0.5000, 0.5000)
Pa (0.5000, 0.0000, 0.5000)
N (0.2392, 0.0000, 0.6950)
N (0.2806, 0.5000, 0.3032)

Principal peaks in the range 2θ from 5° to 70°, sorted by position:
2θ/deg, I (rel.), index
29.11, 55, 0 0 2
29.94, 100, 1 1 -1
30.06, 50, 2 0 0
34.34, 44, 2 0 -2
34.58, 87, 1 1 1
48.92, 32, 1 1 -3
50.16, 47, 0 2 0
58.17, 18, 1 1 3
58.81, 16, 3 1 -3
59.06, 16, 0 2 2

=====

# 2
The following is a simulated PXRD pattern of Ac2PaReN6. It was derived from a crystal structure in Alexandria, relaxed with PBE, using Cu Kα, 1.54184 Å.
Intensities are scaled so that the largest is 100.

Atomic structure:
Cell: 4.1931 4.1931 8.5980 Å, 90.00 90.00 90.00°
Space group P4/mmm (No. 123)
One atom of each set of equivalent atoms:
Ac (0.0000, 0.0000, 0.2234)
Pa (0.5000, 0.5000, 0.5000)
Re (0.5000, 0.5000, 0.0000)
N (0.0000, 0.5000, 0.0000)
N (0.0000, 0.5000, 0.5000)
N (0.5000, 0.5000, 0.2257)

Principal peaks in the range 2θ from 5° to 70°, sorted by position:
2θ/deg, I (rel.), index
29.76, 100, 1 0 2
30.14, 51, 1 1 0
42.03, 11, 0 0 4
43.15, 25, 2 0 0
43.94, 4, 1 1 3
52.59, 18, 1 1 4
53.30, 42, 2 1 2
61.82, 14, 2 0 4
62.67, 8, 2 2 0
69.29, 6, 1 0 6

=====

# 3
The following is a simulated PXRD pattern of AcPaRhN3. It was derived from a crystal structure in Alexandria, relaxed with PBE, using Cu Kα, 1.54184 Å.
Intensities are scaled so that the largest is 100.

Atomic structure:
Cell: 7.5150 3.5907 7.7772 Å, 90.00 101.95 90.00°
Space group P2_1/m (No. 11)
One atom of each set of equivalent atoms:
Ac (0.2299, 0.2500, 0.2028)
Pa (0.1690, 0.2500, 0.6613)
Rh (0.4079, 0.7500, 0.9029)
N (0.1157, 0.7500, 0.8358)
N (0.1407, 0.7500, 0.4435)
N (0.4855, 0.2500, 0.7831)

Principal peaks in the range 2θ from 5° to 70°, sorted by position:
2θ/deg, I (rel.), index
14.92, 32, 1 0 -1
23.38, 43, 0 0 2
24.21, 46, 2 0 0
27.65, 100, 1 1 0
28.56, 40, 1 0 2
30.10, 90, 2 0 -2
34.34, 98, 0 1 2
34.79, 58, 1 1 -2
34.93, 50, 2 1 0
55.82, 31, 2 1 -4

=====

# 4
The following is a simulated PXRD pattern of AcPa2RuN5. It was derived from a crystal structure in Alexandria, relaxed with PBE, using Cu Kα, 1.54184 Å.
Intensities are scaled so that the largest is 100.

Atomic structure:
Cell: 6.6030 6.6030 11.9439 Å, 90.00 90.00 90.00°
Space group I4/mcm (No. 140)
One atom of each set of equivalent atoms:
Ac (0.0000, 0.0000, 0.2500)
Pa (0.1804, 0.3196, 0.0000)
Ru (0.0000, 0.5000, 0.2500)
N (0.0000, 0.0000, 0.0000)
N (0.1409, 0.3591, 0.3749)

Principal peaks in the range 2θ from 5° to 70°, sorted by position:
2θ/deg, I (rel.), index
24.20, 17, 1 1 2
29.92, 41, 0 0 4
30.95, 100, 2 0 2
31.20, 44, 2 1 1
37.94, 38, 2 1 3
38.57, 21, 2 2 0
49.05, 18, 2 1 5
49.57, 21, 2 2 4
53.77, 22, 2 0 6
58.12, 15, 4 1 1

=====

# 5
The following is a simulated PXRD pattern of AcPa2Si2N6. It was derived from a crystal structure in Alexandria, relaxed with PBE, using Cu Kα, 1.54184 Å.
Intensities are scaled so that the largest is 100.

Atomic structure:
Cell: 6.1346 6.1346 5.9388 Å, 90.00 90.00 120.00°
Space group P-3 (No. 147)
One atom of each set of equivalent atoms:
Ac (0.0000, 0.0000, 0.0000)
Pa (0.3333, 0.6667, 0.8649)
Si (0.3333, 0.6667, 0.3363)
N (0.0604, 0.4163, 0.1979)

Principal peaks in the range 2θ from 5° to 70°, sorted by position:
2θ/deg, I (rel.), index
14.92, 87, 0 0 1
22.45, 46, 1 0 1
29.11, 100, 1 1 0
32.86, 70, 2 -1 1
34.61, 66, 1 0 2
45.83, 31, 0 2 2
49.11, 20, 1 0 3
51.61, 25, 3 0 0
54.04, 19, 0 3 1
55.22, 38, 2 1 2

=====

# 6
The following is a simulated PXRD pattern of Ac2SmPa3N8. It was derived from a crystal structure in Alexandria, relaxed with PBE, using Cu Kα, 1.54184 Å.
Intensities are scaled so that the largest is 100.

Atomic structure:
Cell: 7.1541 7.1541 17.9273 Å, 90.00 90.00 120.00°
Space group R3m (No. 160, hexagonal axes)
One atom of each set of equivalent atoms:
Ac (0.0000, 0.0000, 0.0000)
Ac (0.0000, 0.0000, 0.3831)
Sm (0.0000, 0.0000, 0.7678)
Pa (0.0019, 0.5009, 0.8826)
N (0.0000, 0.0000, 0.1526)
N (0.0000, 0.0000, 0.6157)
N (0.0254, 0.5127, 0.1494)
N (0.1883, 0.3766, 0.9484)

Principal peaks in the range 2θ from 5° to 70°, sorted by position:
2θ/deg, I (rel.), index
28.77, 68, 0 1 5
29.09, 100, 1 1 3
29.26, 59, 0 2 1
30.53, 70, 2 0 2
35.22, 28, 0 2 4
46.31, 41, 1 2 5
46.53, 29, 0 3 3
50.25, 43, 2 0 8
51.07, 45, 2 2 0
59.63, 36, 0 2 10

=====

# 7
The following is a simulated PXRD pattern of Ac2TbPaN4. It was derived from a crystal structure in Alexandria, relaxed with PBE, using Cu Kα, 1.54184 Å.
Intensities are scaled so that the largest is 100.

Atomic structure:
Cell: 6.2384 3.6564 6.5316 Å, 90.00 108.57 90.00°
Space group P2/m (No. 10)
One atom of each set of equivalent atoms:
Ac (0.0000, 0.0000, 0.0000)
Ac (0.5000, 0.5000, 0.0000)
Tb (0.0000, 0.5000, 0.5000)
Pa (0.5000, 0.0000, 0.5000)
N (0.2543, 0.0000, 0.7060)
N (0.2790, 0.5000, 0.3009)

Principal peaks in the range 2θ from 5° to 70°, sorted by position:
2θ/deg, I (rel.), index
28.84, 56, 0 0 2
29.91, 100, 1 1 -1
30.23, 49, 2 0 0
34.37, 91, 1 1 1
34.64, 44, 2 0 -2
48.69, 33, 1 1 -3
48.91, 16, 2 0 2
50.49, 31, 3 1 -1
57.59, 18, 1 1 3
59.19, 32, 3 1 -3

=====

# 8
The following is a simulated PXRD pattern of Ac3PaTc2N6. It was derived from a crystal structure in Alexandria, relaxed with PBE, using Cu Kα, 1.54184 Å.
Intensities are scaled so that the largest is 100.

Atomic structure:
Cell: 6.0524 6.0524 6.9299 Å, 90.00 90.00 120.00°
Space group P-3m1 (No. 164)
One atom of each set of equivalent atoms:
Ac (0.0000, 0.0000, 0.0000)
Ac (0.3333, 0.6667, 0.6824)
Pa (0.0000, 0.0000, 0.5000)
Tc (0.3333, 0.6667, 0.1843)
N (0.1707, 0.3414, 0.2994)

Principal peaks in the range 2θ from 5° to 70°, sorted by position:
2θ/deg, I (rel.), index
21.25, 10, 1 0 1
29.52, 100, 1 1 0
30.94, 92, 0 1 2
36.66, 7, 0 2 1
43.29, 43, 2 0 2
52.37, 21, 3 0 0
53.26, 41, 1 2 2
55.89, 16, 1 0 4
61.26, 15, 2 2 0
64.47, 12, 0 2 4

=====

# 9
The following is a simulated PXRD pattern of Ac8PbN6. It was derived from a crystal structure in Alexandria, relaxed with PBE, using Cu Kα, 1.54184 Å.
Intensities are scaled so that the largest is 100.

Atomic structure:
Cell: 10.6594 10.6594 12.5113 Å, 90.00 90.00 120.00°
Space group R-3 (No. 148, hexagonal axes)
One atom of each set of equivalent atoms:
Ac (0.0000, 0.0000, 0.2193)
Ac (0.0230, 0.2974, 0.0828)
Pb (0.0000, 0.0000, 0.5000)
N (0.0064, 0.2028, 0.8825)

Principal peaks in the range 2θ from 5° to 70°, sorted by position:
2θ/deg, I (rel.), index
23.96, 20, 2 0 2
26.52, 24, 2 1 1
27.15, 100, 1 1 3
29.02, 86, 3 0 0
34.64, 19, 0 2 4
38.66, 17, 3 -1 4
40.16, 22, 4 -2 3
45.20, 19, 5 -3 2
52.15, 26, 3 2 4
53.03, 19, 2 4 1

=====

# 10
The following is a simulated PXRD pattern of Ac6Pb3N2. It was derived from a crystal structure in Alexandria, relaxed with PBE, using Cu Kα, 1.54184 Å.
Intensities are scaled so that the largest is 100.

Atomic structure:
Cell: 5.2216 5.2216 27.5935 Å, 90.00 90.00 90.00°
Space group I4/mmm (No. 139)
One atom of each set of equivalent atoms:
Ac (0.0000, 0.0000, 0.1948)
Ac (0.0000, 0.5000, 0.0853)
Pb (0.0000, 0.0000, 0.3241)
Pb (0.0000, 0.0000, 0.5000)
N (0.0000, 0.0000, 0.1059)

Principal peaks in the range 2θ from 5° to 70°, sorted by position:
2θ/deg, I (rel.), index
24.97, 39, 1 1 2
27.40, 19, 1 1 4
28.37, 13, 1 0 7
31.06, 100, 1 1 6
32.45, 12, 0 0 10
34.35, 54, 2 0 0
43.47, 12, 2 0 8
47.97, 16, 2 0 10
49.36, 20, 2 2 0
59.48, 33, 3 1 6

=====

# 11
The following is a simulated PXRD pattern of Ac7Pb2N2. It was derived from a crystal structure in Alexandria, relaxed with PBE, using Cu Kα, 1.54184 Å.
Intensities are scaled so that the largest is 100.

Atomic structure:
Cell: 10.7099 11.4611 6.8711 Å, 90.00 100.70 90.00°
Space group C2/m (No. 12)
One atom of each set of equivalent atoms:
Ac (0.0000, 0.0000, 0.0000)
Ac (0.1286, 0.5000, 0.7101)
Ac (0.1985, 0.3356, 0.2097)
Pb (0.0000, 0.2052, 0.5000)
N (0.2308, 0.0000, 0.9744)

Principal peaks in the range 2θ from 5° to 70°, sorted by position:
2θ/deg, I (rel.), index
26.57, 34, 3 1 0
27.38, 100, 1 3 -1
27.51, 12, 3 1 -1
28.07, 48, 2 2 1
28.64, 39, 2 0 -2
30.29, 28, 1 1 2
37.74, 16, 4 2 -1
43.19, 13, 0 2 3
47.60, 14, 0 6 0
49.97, 12, 3 3 -3

=====

# 12
The following is a simulated PXRD pattern of Ac4Pb3N. It was derived from a crystal structure in Alexandria, relaxed with PBE, using Cu Kα, 1.54184 Å.
Intensities are scaled so that the largest is 100.

Atomic structure:
Cell: 8.3138 8.3138 8.3138 Å, 90.00 90.00 90.00°
Space group I-43m (No. 217)
One atom of each set of equivalent atoms:
Ac (0.1725, 0.1725, 0.1725)
Pb (0.0000, 0.0000, 0.5000)
N (0.0000, 0.0000, 0.0000)

Principal peaks in the range 2θ from 5° to 70°, sorted by position:
2θ/deg, I (rel.), index
26.26, 100, 2 1 1
30.41, 69, 2 2 0
34.10, 45, 3 1 0
46.33, 38, 4 1 1
49.00, 30, 4 2 0
51.56, 19, 3 3 2
54.04, 20, 4 2 2
61.05, 17, 5 2 1
65.46, 17, 5 3 0
67.61, 23, 6 0 0